Starting from DFT lattice parameters and positions (PBE), the PXRD pattern of YNi2BRu was computed for Cu Kα, 1.54184 Å.
Neutral-atom scattering factors, no anomalous dispersion.

The 10 most intense peaks (10° ≤ 2θ ≤ 90°), low angle first:
- 21.32 deg, I 3.4
- 31.39 deg, I 4.4
- 38.26 deg, I 100.0
- 43.43 deg, I 19.0
- 44.98 deg, I 34.1
- 64.30 deg, I 22.3
- 65.50 deg, I 10.5
- 76.25 deg, I 12.2
- 78.47 deg, I 22.4
- 81.90 deg, I 10.9

Atomic structure:
a = 4.031 Å, b = 4.031 Å, c = 4.168 Å
α = 90.00°, β = 90.00°, γ = 90.00°
Element x y z (fractional)
Y (0.000, 0.000, 0.000)
Ni (0.000, 0.500, 0.500)
Ni (0.500, 0.000, 0.500)
B (0.500, 0.500, 0.500)
Ru (0.500, 0.500, 0.000)

Starting from DFT lattice parameters and positions (PBE), the PXRD pattern of Ni4BSb was computed for Cu Kα, 1.54184 Å.
Neutral-atom scattering factors, no anomalous dispersion.

The 10 most intense peaks (10° ≤ 2θ ≤ 90°), low angle first:
- 15.37 deg, I 17.6
- 37.97 deg, I 71.5
- 38.53 deg, I 80.1
- 41.18 deg, I 76.7
- 44.35 deg, I 63.6
- 45.60 deg, I 100.0
- 52.54 deg, I 30.3
- 57.80 deg, I 21.9
- 72.75 deg, I 16.2
- 74.68 deg, I 21.7

Atomic structure:
a = 6.384 Å, b = 6.384 Å, c = 5.731 Å
α = 104.86°, β = 104.86°, γ = 40.29°
Element x y z (fractional)
Ni (0.020, 0.795, 0.557)
Ni (0.188, 0.413, 0.845)
Ni (0.205, 0.980, 0.943)
Ni (0.413, 0.188, 0.345)
Ni (0.587, 0.812, 0.655)
Ni (0.795, 0.020, 0.057)
Ni (0.812, 0.587, 0.155)
Ni (0.980, 0.205, 0.443)
B (0.000, 0.500, 0.500)
B (0.500, 0.000, 0.000)
Sb (0.378, 0.622, 0.250)
Sb (0.622, 0.378, 0.750)

Starting from DFT lattice parameters and positions (PBE), the PXRD pattern of Sc2NiB10 was computed for Cu Kα, 1.54184 Å.
Neutral-atom scattering factors, no anomalous dispersion.

The 10 most intense peaks (10° ≤ 2θ ≤ 90°), low angle first:
- 18.16 deg, I 32.0
- 27.17 deg, I 42.7
- 28.45 deg, I 100.0
- 29.40 deg, I 43.7
- 31.83 deg, I 76.6
- 39.54 deg, I 84.3
- 39.71 deg, I 49.4
- 40.59 deg, I 30.5
- 44.24 deg, I 32.5
- 46.98 deg, I 29.5

Atomic structure:
a = 5.453 Å, b = 10.975 Å, c = 4.095 Å
α = 90.00°, β = 90.00°, γ = 90.00°
Element x y z (fractional)
Sc (0.171, 0.141, 0.000)
Sc (0.329, 0.641, 0.000)
Sc (0.671, 0.359, 0.000)
Sc (0.829, 0.859, 0.000)
Ni (0.000, 0.500, 0.500)
Ni (0.500, 0.000, 0.500)
B (0.023, 0.315, 0.500)
B (0.125, 0.959, 0.500)
B (0.163, 0.800, 0.500)
B (0.200, 0.385, 0.198)
B (0.200, 0.385, 0.802)
B (0.300, 0.885, 0.198)
B (0.300, 0.885, 0.802)
B (0.337, 0.300, 0.500)
B (0.375, 0.459, 0.500)
B (0.477, 0.815, 0.500)
B (0.523, 0.185, 0.500)
B (0.625, 0.541, 0.500)
B (0.663, 0.700, 0.500)
B (0.700, 0.115, 0.198)
B (0.700, 0.115, 0.802)
B (0.800, 0.615, 0.198)
B (0.800, 0.615, 0.802)
B (0.837, 0.200, 0.500)
B (0.875, 0.041, 0.500)
B (0.977, 0.685, 0.500)

Starting from DFT lattice parameters and positions (PBE), the PXRD pattern of ScNi3B3 was computed for Cu Kα, 1.54184 Å.
Neutral-atom scattering factors, no anomalous dispersion.

The 10 most intense peaks (10° ≤ 2θ ≤ 90°), low angle first:
- 27.87 deg, I 31.1
- 37.16 deg, I 26.8
- 38.05 deg, I 58.0
- 40.67 deg, I 100.0
- 42.36 deg, I 20.0
- 47.82 deg, I 19.8
- 51.47 deg, I 40.2
- 60.16 deg, I 36.5
- 81.40 deg, I 20.3
- 83.05 deg, I 17.9

Atomic structure:
a = 7.392 Å, b = 7.392 Å, c = 3.077 Å
α = 90.00°, β = 90.00°, γ = 120.00°
Element x y z (fractional)
Sc (0.333, 0.667, 0.250)
Sc (0.667, 0.333, 0.750)
Ni (0.083, 0.328, 0.750)
Ni (0.245, 0.917, 0.750)
Ni (0.328, 0.245, 0.250)
Ni (0.672, 0.755, 0.750)
Ni (0.755, 0.083, 0.250)
Ni (0.917, 0.672, 0.250)
B (0.041, 0.588, 0.750)
B (0.412, 0.452, 0.750)
B (0.452, 0.041, 0.250)
B (0.548, 0.959, 0.750)
B (0.588, 0.548, 0.250)
B (0.959, 0.412, 0.250)

Starting from DFT lattice parameters and positions (PBE), the PXRD pattern of SiNi5B2 was computed for Cu Kα, 1.54184 Å.
Neutral-atom scattering factors, no anomalous dispersion.

The 10 most intense peaks (10° ≤ 2θ ≤ 90°), low angle first:
- 32.96 deg, I 19.3
- 37.11 deg, I 34.1
- 42.08 deg, I 100.0
- 47.71 deg, I 57.8
- 48.38 deg, I 73.8
- 51.21 deg, I 28.1
- 54.47 deg, I 21.0
- 80.45 deg, I 25.6
- 84.36 deg, I 20.3
- 89.12 deg, I 17.4

Atomic structure:
a = 6.149 Å, b = 6.149 Å, c = 6.149 Å
α = 154.74°, β = 127.55°, γ = 59.08°
Element x y z (fractional)
Si (0.000, 0.000, 0.000)
Ni (0.083, 0.350, 0.733)
Ni (0.383, 0.650, 0.733)
Ni (0.500, 0.000, 0.500)
Ni (0.617, 0.350, 0.267)
Ni (0.917, 0.650, 0.267)
B (0.302, 0.802, 0.500)
B (0.698, 0.198, 0.500)

Starting from DFT lattice parameters and positions (PBE), the PXRD pattern of Si2Ni21B6 was computed for Cu Kα, 1.54184 Å.
Neutral-atom scattering factors, no anomalous dispersion.

The 10 most intense peaks (10° ≤ 2θ ≤ 90°), low angle first:
- 34.40 deg, I 10.5
- 38.61 deg, I 11.3
- 42.47 deg, I 19.2
- 45.18 deg, I 100.0
- 49.44 deg, I 16.2
- 51.87 deg, I 26.1
- 52.67 deg, I 19.8
- 77.71 deg, I 16.8
- 79.62 deg, I 13.2
- 82.79 deg, I 8.0

Atomic structure:
a = 7.373 Å, b = 7.373 Å, c = 7.373 Å
α = 60.00°, β = 60.00°, γ = 60.00°
Element x y z (fractional)
Si (0.250, 0.250, 0.250)
Si (0.750, 0.750, 0.750)
Ni (0.000, 0.000, 0.000)
Ni (0.000, 0.000, 0.337)
Ni (0.000, 0.000, 0.663)
Ni (0.000, 0.337, 0.000)
Ni (0.000, 0.337, 0.663)
Ni (0.000, 0.663, 0.000)
Ni (0.000, 0.663, 0.337)
Ni (0.138, 0.621, 0.621)
Ni (0.337, 0.000, 0.000)
Ni (0.337, 0.000, 0.663)
Ni (0.337, 0.663, 0.000)
Ni (0.379, 0.379, 0.379)
Ni (0.379, 0.379, 0.862)
Ni (0.379, 0.862, 0.379)
Ni (0.621, 0.138, 0.621)
Ni (0.621, 0.621, 0.138)
Ni (0.621, 0.621, 0.621)
Ni (0.663, 0.000, 0.000)
Ni (0.663, 0.000, 0.337)
Ni (0.663, 0.337, 0.000)
Ni (0.862, 0.379, 0.379)
B (0.273, 0.273, 0.727)
B (0.273, 0.727, 0.273)
B (0.273, 0.727, 0.727)
B (0.727, 0.273, 0.273)
B (0.727, 0.273, 0.727)
B (0.727, 0.727, 0.273)

Starting from DFT lattice parameters and positions (PBE), the PXRD pattern of Si4Ni9B2 was computed for Cu Kα, 1.54184 Å.
Neutral-atom scattering factors, no anomalous dispersion.

The 10 most intense peaks (10° ≤ 2θ ≤ 90°), low angle first:
- 31.46 deg, I 16.6
- 32.87 deg, I 22.1
- 42.92 deg, I 31.8
- 43.53 deg, I 80.7
- 47.17 deg, I 21.7
- 48.63 deg, I 100.0
- 52.83 deg, I 21.2
- 78.49 deg, I 16.5
- 79.11 deg, I 19.9
- 82.79 deg, I 17.1

Atomic structure:
a = 6.447 Å, b = 6.447 Å, c = 6.447 Å
α = 96.13°, β = 96.13°, γ = 141.85°
Element x y z (fractional)
Si (0.055, 0.055, 0.690)
Si (0.365, 0.365, 0.310)
Si (0.635, 0.945, 0.000)
Si (0.945, 0.635, 0.000)
Ni (0.044, 0.827, 0.375)
Ni (0.173, 0.548, 0.216)
Ni (0.331, 0.956, 0.784)
Ni (0.452, 0.669, 0.625)
Ni (0.500, 0.500, 0.000)
Ni (0.548, 0.173, 0.216)
Ni (0.669, 0.452, 0.625)
Ni (0.827, 0.044, 0.375)
Ni (0.956, 0.331, 0.784)
B (0.000, 0.500, 0.500)
B (0.500, 0.000, 0.500)

Starting from DFT lattice parameters and positions (PBE), the PXRD pattern of Sm3NiB7 was computed for Cu Kα, 1.54184 Å.
Neutral-atom scattering factors, no anomalous dispersion.

The 10 most intense peaks (10° ≤ 2θ ≤ 90°), low angle first:
- 26.03 deg, I 75.9
- 29.07 deg, I 84.4
- 30.36 deg, I 73.1
- 31.93 deg, I 54.2
- 33.35 deg, I 41.6
- 37.93 deg, I 43.6
- 38.77 deg, I 100.0
- 39.14 deg, I 42.2
- 42.61 deg, I 32.5
- 55.93 deg, I 37.3

Atomic structure:
a = 8.248 Å, b = 8.248 Å, c = 9.488 Å
α = 90.00°, β = 90.00°, γ = 155.48°
Element x y z (fractional)
Sm (0.105, 0.895, 0.564)
Sm (0.105, 0.895, 0.936)
Sm (0.243, 0.757, 0.250)
Sm (0.757, 0.243, 0.750)
Sm (0.895, 0.105, 0.064)
Sm (0.895, 0.105, 0.436)
Ni (0.057, 0.943, 0.250)
Ni (0.943, 0.057, 0.750)
B (0.274, 0.726, 0.531)
B (0.274, 0.726, 0.969)
B (0.371, 0.629, 0.652)
B (0.371, 0.629, 0.848)
B (0.470, 0.530, 0.250)
B (0.477, 0.523, 0.592)
B (0.477, 0.523, 0.908)
B (0.523, 0.477, 0.092)
B (0.523, 0.477, 0.408)
B (0.530, 0.470, 0.750)
B (0.629, 0.371, 0.152)
B (0.629, 0.371, 0.348)
B (0.726, 0.274, 0.031)
B (0.726, 0.274, 0.469)

Starting from DFT lattice parameters and positions (PBE), the PXRD pattern of Ni12SnB5 was computed for Cu Kα, 1.54184 Å.
Neutral-atom scattering factors, no anomalous dispersion.

The 10 most intense peaks (10° ≤ 2θ ≤ 90°), low angle first:
- 31.61 deg, I 19.4
- 37.58 deg, I 51.9
- 41.39 deg, I 52.3
- 42.01 deg, I 53.3
- 44.41 deg, I 100.0
- 46.38 deg, I 63.8
- 48.40 deg, I 59.3
- 49.72 deg, I 37.0
- 74.61 deg, I 28.5
- 87.32 deg, I 22.0

Atomic structure:
a = 6.157 Å, b = 6.157 Å, c = 6.157 Å
α = 112.98°, β = 112.67°, γ = 102.95°
Element x y z (fractional)
Ni (0.030, 0.215, 0.815)
Ni (0.179, 0.282, 0.461)
Ni (0.179, 0.718, 0.897)
Ni (0.319, 0.001, 0.681)
Ni (0.319, 0.638, 0.319)
Ni (0.400, 0.215, 0.185)
Ni (0.600, 0.785, 0.815)
Ni (0.681, 0.362, 0.681)
Ni (0.681, 0.999, 0.319)
Ni (0.821, 0.282, 0.103)
Ni (0.821, 0.718, 0.539)
Ni (0.970, 0.785, 0.185)
Sn (0.500, 0.500, 0.000)
B (0.000, 0.000, 0.000)
B (0.115, 0.615, 0.500)
B (0.357, 0.000, 0.357)
B (0.643, 0.000, 0.643)
B (0.885, 0.385, 0.500)

Starting from DFT lattice parameters and positions (PBE), the PXRD pattern of Ni10SnB3 was computed for Cu Kα, 1.54184 Å.
Neutral-atom scattering factors, no anomalous dispersion.

The 10 most intense peaks (10° ≤ 2θ ≤ 90°), low angle first:
- 16.79 deg, I 14.4
- 38.10 deg, I 83.6
- 41.90 deg, I 45.5
- 44.57 deg, I 100.0
- 48.77 deg, I 27.4
- 51.16 deg, I 43.9
- 57.91 deg, I 22.8
- 74.00 deg, I 24.4
- 76.53 deg, I 32.4
- 83.35 deg, I 12.1

Atomic structure:
a = 7.469 Å, b = 7.469 Å, c = 7.469 Å
α = 60.00°, β = 60.00°, γ = 60.00°
Element x y z (fractional)
Ni (0.000, 0.000, 0.333)
Ni (0.000, 0.000, 0.667)
Ni (0.000, 0.333, 0.000)
Ni (0.000, 0.333, 0.667)
Ni (0.000, 0.667, 0.000)
Ni (0.000, 0.667, 0.333)
Ni (0.156, 0.615, 0.615)
Ni (0.333, 0.000, 0.000)
Ni (0.333, 0.000, 0.667)
Ni (0.333, 0.667, 0.000)
Ni (0.385, 0.385, 0.385)
Ni (0.385, 0.385, 0.844)
Ni (0.385, 0.844, 0.385)
Ni (0.615, 0.156, 0.615)
Ni (0.615, 0.615, 0.156)
Ni (0.615, 0.615, 0.615)
Ni (0.667, 0.000, 0.000)
Ni (0.667, 0.000, 0.333)
Ni (0.667, 0.333, 0.000)
Ni (0.844, 0.385, 0.385)
Sn (0.250, 0.250, 0.250)
Sn (0.750, 0.750, 0.750)
B (0.271, 0.271, 0.729)
B (0.271, 0.729, 0.271)
B (0.271, 0.729, 0.729)
B (0.729, 0.271, 0.271)
B (0.729, 0.271, 0.729)
B (0.729, 0.729, 0.271)

Starting from DFT lattice parameters and positions (PBE), the PXRD pattern of Ni20Sn3B6 was computed for Cu Kα, 1.54184 Å.
Neutral-atom scattering factors, no anomalous dispersion.

The 10 most intense peaks (10° ≤ 2θ ≤ 90°), low angle first:
- 37.62 deg, I 31.2
- 41.37 deg, I 51.0
- 44.00 deg, I 100.0
- 48.14 deg, I 29.4
- 50.50 deg, I 15.0
- 57.14 deg, I 8.7
- 72.96 deg, I 9.1
- 75.44 deg, I 32.1
- 77.28 deg, I 13.5
- 89.89 deg, I 18.7

Atomic structure:
a = 7.561 Å, b = 7.561 Å, c = 7.561 Å
α = 60.00°, β = 60.00°, γ = 60.00°
Element x y z (fractional)
Ni (0.000, 0.000, 0.341)
Ni (0.000, 0.000, 0.659)
Ni (0.000, 0.341, 0.000)
Ni (0.000, 0.341, 0.659)
Ni (0.000, 0.659, 0.000)
Ni (0.000, 0.659, 0.341)
Ni (0.157, 0.614, 0.614)
Ni (0.341, 0.000, 0.000)
Ni (0.341, 0.000, 0.659)
Ni (0.341, 0.659, 0.000)
Ni (0.386, 0.386, 0.386)
Ni (0.386, 0.386, 0.843)
Ni (0.386, 0.843, 0.386)
Ni (0.614, 0.157, 0.614)
Ni (0.614, 0.614, 0.157)
Ni (0.614, 0.614, 0.614)
Ni (0.659, 0.000, 0.000)
Ni (0.659, 0.000, 0.341)
Ni (0.659, 0.341, 0.000)
Ni (0.843, 0.386, 0.386)
Sn (0.000, 0.000, 0.000)
Sn (0.250, 0.250, 0.250)
Sn (0.750, 0.750, 0.750)
B (0.275, 0.275, 0.725)
B (0.275, 0.725, 0.275)
B (0.275, 0.725, 0.725)
B (0.725, 0.275, 0.275)
B (0.725, 0.275, 0.725)
B (0.725, 0.725, 0.275)